No. 1
Simulated powder X-ray diffraction pattern of TbPmMg3 for Cu Kα, from a crystal structure in Alexandria, relaxed with PBE.
Lines closer than 0.1° are merged.

The 10 most intense peaks (2θ = 10–80°), by angle:
- (3 1 0), 15.8°, I = 11
- (4 0 0), 17.8°, I = 18
- (3 1 -1), 21.0°, I = 12
- (0 2 1), 24.4°, I = 40
- (4 2 1), 33.0°, I = 100
- (0 4 0), 34.0°, I = 25
- (2 0 -2), 34.4°, I = 23
- (2 4 -2), 49.1°, I = 17
- (4 6 1), 60.2°, I = 17
- (2 2 3), 60.7°, I = 17

Unit cell a=20.569 b=10.543 c=5.217 alpha=90.00 beta=104.67 gamma=90.00
Space group C2/c (No. 15)
Symmetry-distinct sites (fractional):
Tb: 0.199 0.122 0.449
Pm: 0.000 0.126 0.250
Pm: 0.000 0.371 0.750
Mg: 0.102 0.125 0.852
Mg: 0.113 0.385 0.363
Mg: 0.195 0.357 0.946

No. 2
Simulated powder X-ray diffraction pattern of BaHfRe2 for Cu Kα, from a crystal structure in Alexandria, relaxed with PBE.
Lines closer than 0.1° are merged.

The 10 most intense peaks (2θ = 10–80°), by angle:
- (1 0 1), 18.3°, I = 100
- (1 0 3), 22.8°, I = 30
- (1 1 2), 26.8°, I = 83
- (2 0 2), 37.0°, I = 51
- (1 1 6), 38.6°, I = 32
- (0 0 8), 38.9°, I = 37
- (2 0 4), 40.8°, I = 27
- (2 1 3), 42.7°, I = 24
- (2 0 6), 46.6°, I = 27
- (2 2 4), 55.3°, I = 54

Unit cell a=5.036 b=5.036 c=18.515 alpha=90.00 beta=90.00 gamma=90.00
Space group I4_1/amd (No. 141, origin choice 2)
Symmetry-distinct sites (fractional):
Ba: 0.000 0.250 0.375
Hf: 0.000 0.250 0.875
Re: 0.000 0.000 0.000

No. 3
Simulated powder X-ray diffraction pattern of TlBiP2S7 for Cu Kα, from a crystal structure in Alexandria, relaxed with PBE.
Lines closer than 0.1° are merged.

The 10 most intense peaks (2θ = 10–80°), by angle:
- (0 1 1), 11.9°, I = 69
- (1 2 1), 19.2°, I = 78
- (2 1 0), 19.5°, I = 100
- (1 0 -2), 21.3°, I = 54
- (1 1 -2), 22.4°, I = 50
- (0 3 1), 23.1°, I = 41
- (1 3 -1), 24.8°, I = 76
- (2 2 1), 25.0°, I = 85
- (1 4 1), 31.1°, I = 54
- (3 2 -1), 32.4°, I = 44

Unit cell a=9.744 b=12.729 c=9.221 alpha=90.00 beta=90.40 gamma=90.00
Space group P2_1/c (No. 14)
Symmetry-distinct sites (fractional):
Tl: 0.113 0.186 0.113
Bi: 0.348 0.637 0.630
P: 0.227 0.608 0.985
P: 0.320 0.034 0.803
S: 0.123 0.710 0.114
S: 0.132 0.558 0.799
S: 0.173 0.531 0.432
S: 0.247 0.043 0.584
S: 0.345 0.189 0.846
S: 0.410 0.675 0.932
S: 0.497 0.551 0.315

Q: Which formula does entry 2 have?
A: BaHfRe2